Entry 1:
Simulated X-ray diffraction stick pattern
Compound: PuHf2Sc4
Radiation: copper Kα
Structure: the PBE geometry in Alexandria

Structure:
```
PuHf2Sc4
1.0
3.259 0.000 0.000
0.000 7.270 0.000
-0.009 0.000 7.173
Pu Hf Sc
1 2 4
direct
0.000 0.000 0.000 Pu
0.000 0.500 0.000 Hf
0.000 0.500 0.500 Hf
0.499 0.224 0.723 Sc
0.499 0.776 0.723 Sc
0.501 0.224 0.277 Sc
0.501 0.776 0.277 Sc
```

Principal peaks in the range 10 to 90 degrees two-theta, low angle first:
2θ = 12.3°, d 7.173, I 42; 2θ = 17.4°, d 5.106, I 52; 2θ = 24.5°, d 3.635, I 38; 2θ = 24.8°, d 3.587, I 37; 2θ = 35.2°, d 2.553, I 100; 2θ = 37.1°, d 2.426, I 92; 2θ = 37.3°, d 2.412, I 87; 2θ = 45.1°, d 2.010, I 34; 2θ = 64.2°, d 1.452, I 32; 2θ = 64.6°, d 1.442, I 32


Entry 2:
Simulated X-ray diffraction stick pattern
Compound: LuPuCu4
Radiation: copper Kα
Structure: the PBE geometry in Alexandria

Structure:
```
LuPuCu4
1.0
0.000 3.685 3.685
3.685 0.000 3.685
3.685 3.685 0.000
Lu Pu Cu
1 1 4
direct
0.000 0.000 0.000 Lu
0.250 0.250 0.250 Pu
0.123 0.626 0.626 Cu
0.626 0.123 0.626 Cu
0.626 0.626 0.123 Cu
0.626 0.626 0.626 Cu
```

Principal peaks in the range 10 to 90 degrees two-theta, low angle first:
2θ = 20.9°, d 4.255, I 23; 2θ = 34.4°, d 2.606, I 71; 2θ = 40.6°, d 2.222, I 100; 2θ = 42.5°, d 2.128, I 13; 2θ = 54.2°, d 1.691, I 6; 2θ = 61.6°, d 1.504, I 27; 2θ = 65.8°, d 1.418, I 32; 2θ = 72.6°, d 1.303, I 22; 2θ = 82.8°, d 1.165, I 12; 2θ = 86.6°, d 1.124, I 11


Entry 3:
Simulated X-ray diffraction stick pattern
Compound: Tb3ScRu4
Radiation: copper Kα
Structure: the PBE geometry in Alexandria

Structure:
```
Tb3ScRu4
1.0
3.374 0.000 0.000
0.000 4.752 0.000
0.000 0.000 9.500
Tb Sc Ru
3 1 4
direct
0.000 0.000 0.000 Tb
0.000 0.500 0.257 Tb
0.000 0.500 0.743 Tb
0.000 0.000 0.500 Sc
0.500 0.000 0.262 Ru
0.500 0.000 0.738 Ru
0.500 0.500 0.000 Ru
0.500 0.500 0.500 Ru
```

Principal peaks in the range 10 to 90 degrees two-theta, low angle first:
2θ = 18.7°, d 4.751, I 3; 2θ = 20.9°, d 4.250, I 2; 2θ = 33.9°, d 2.641, I 3; 2θ = 37.8°, d 2.379, I 100; 2θ = 54.4°, d 1.687, I 6; 2θ = 54.6°, d 1.680, I 11; 2θ = 68.2°, d 1.375, I 11; 2θ = 68.3°, d 1.373, I 22; 2θ = 80.7°, d 1.190, I 7; 2θ = 80.9°, d 1.188, I 3


Entry 4:
Simulated X-ray diffraction stick pattern
Compound: Ac2Tb3Te8
Radiation: copper Kα
Structure: the PBE geometry in Alexandria

Structure:
```
Ac2Tb3Te8
1.0
7.992 -4.492 0.000
7.992 4.492 0.000
-2.471 0.000 7.322
Ac Tb Te
2 3 8
direct
0.244 0.244 0.169 Ac
0.756 0.756 0.831 Ac
0.242 0.758 0.500 Tb
0.500 0.500 0.000 Tb
0.758 0.242 0.500 Tb
0.121 0.121 0.438 Te
0.144 0.629 0.093 Te
0.371 0.856 0.907 Te
0.387 0.387 0.591 Te
0.613 0.613 0.409 Te
0.629 0.144 0.093 Te
0.856 0.371 0.907 Te
0.879 0.879 0.562 Te
```

Principal peaks in the range 10 to 90 degrees two-theta, low angle first:
2θ = 18.0°, d 4.928, I 29; 2θ = 20.4°, d 4.345, I 22; 2θ = 23.0°, d 3.863, I 20; 2θ = 24.3°, d 3.669, I 34; 2θ = 30.3°, d 2.949, I 100; 2θ = 36.0°, d 2.492, I 36; 2θ = 36.2°, d 2.482, I 17; 2θ = 40.2°, d 2.246, I 23; 2θ = 40.4°, d 2.234, I 44; 2θ = 64.4°, d 1.447, I 19


Entry 5:
Simulated X-ray diffraction stick pattern
Compound: PmBiSe3
Radiation: copper Kα
Structure: the PBE geometry in Alexandria

Structure:
```
PmBiSe3
1.0
8.288 0.000 0.000
0.000 4.166 0.000
-0.196 0.000 8.405
Pm Bi Se
2 2 6
direct
0.116 0.250 0.282 Pm
0.884 0.750 0.718 Pm
0.350 0.750 0.831 Bi
0.650 0.250 0.169 Bi
0.116 0.250 0.900 Se
0.181 0.750 0.520 Se
0.377 0.750 0.173 Se
0.623 0.250 0.827 Se
0.819 0.250 0.480 Se
0.884 0.750 0.100 Se
```

Principal peaks in the range 10 to 90 degrees two-theta, low angle first:
2θ = 10.5°, d 8.405, I 25; 2θ = 14.8°, d 5.971, I 24; 2θ = 23.9°, d 3.729, I 63; 2θ = 30.4°, d 2.938, I 100; 2θ = 31.9°, d 2.801, I 29; 2θ = 32.1°, d 2.788, I 35; 2θ = 34.0°, d 2.638, I 36; 2θ = 37.6°, d 2.389, I 41; 2θ = 40.1°, d 2.250, I 53; 2θ = 43.4°, d 2.083, I 34


Entry 6:
Simulated X-ray diffraction stick pattern
Compound: HoSbTe3
Radiation: copper Kα
Structure: the PBE geometry in Alexandria

Structure:
```
HoSbTe3
1.0
3.872 2.236 6.954
-3.872 2.236 6.954
0.000 -4.472 6.954
Ho Sb Te
2 2 6
direct
0.153 0.153 0.153 Ho
0.847 0.847 0.847 Ho
0.339 0.339 0.339 Sb
0.661 0.661 0.661 Sb
0.062 0.748 0.448 Te
0.252 0.552 0.938 Te
0.448 0.062 0.748 Te
0.552 0.938 0.252 Te
0.748 0.448 0.062 Te
0.938 0.252 0.552 Te
```

Principal peaks in the range 10 to 90 degrees two-theta, low angle first:
2θ = 15.7°, d 5.642, I 36; 2θ = 21.6°, d 4.117, I 22; 2θ = 26.3°, d 3.383, I 100; 2θ = 31.7°, d 2.821, I 22; 2θ = 34.7°, d 2.587, I 95; 2θ = 40.3°, d 2.236, I 63; 2θ = 45.6°, d 1.990, I 32; 2θ = 54.2°, d 1.692, I 25; 2θ = 68.3°, d 1.372, I 18; 2θ = 69.7°, d 1.349, I 21


Entry 7:
Simulated X-ray diffraction stick pattern
Compound: NdDyY2Tm2
Radiation: copper Kα
Structure: the PBE geometry in Alexandria

Structure:
```
NdDyY2Tm2
1.0
6.490 0.000 0.000
0.000 17.836 0.000
0.000 0.000 3.407
Nd Dy Y Tm
2 2 4 4
direct
0.000 0.000 0.000 Nd
0.500 0.500 0.500 Nd
0.000 0.500 0.000 Dy
0.500 0.000 0.500 Dy
0.220 0.188 0.000 Y
0.280 0.688 0.500 Y
0.720 0.312 0.500 Y
0.780 0.812 0.000 Y
0.218 0.353 0.500 Tm
0.282 0.853 0.000 Tm
0.718 0.147 0.000 Tm
0.782 0.647 0.500 Tm
```

Principal peaks in the range 10 to 90 degrees two-theta, low angle first:
2θ = 16.9°, d 5.248, I 51; 2θ = 26.6°, d 3.347, I 32; 2θ = 29.3°, d 3.049, I 100; 2θ = 30.1°, d 2.973, I 89; 2θ = 30.2°, d 2.956, I 87; 2θ = 31.3°, d 2.858, I 58; 2θ = 33.1°, d 2.703, I 35; 2θ = 34.2°, d 2.624, I 82; 2θ = 35.9°, d 2.499, I 59; 2θ = 41.3°, d 2.185, I 55


Entry 8:
Simulated X-ray diffraction stick pattern
Compound: Pm3SmIr2
Radiation: copper Kα
Structure: the PBE geometry in Alexandria

Structure:
```
Pm3SmIr2
1.0
4.807 0.000 0.000
0.000 8.952 0.000
0.000 0.000 7.340
Pm Sm Ir
6 2 4
direct
0.000 0.088 0.000 Pm
0.000 0.338 0.364 Pm
0.000 0.662 0.864 Pm
0.000 0.912 0.500 Pm
0.500 0.163 0.645 Pm
0.500 0.837 0.145 Pm
0.500 0.412 0.009 Sm
0.500 0.588 0.509 Sm
0.000 0.334 0.762 Ir
0.000 0.666 0.262 Ir
0.500 0.167 0.247 Ir
0.500 0.833 0.747 Ir
```

Principal peaks in the range 10 to 90 degrees two-theta, low angle first:
2θ = 29.9°, d 2.991, I 95; 2θ = 30.6°, d 2.917, I 30; 2θ = 31.5°, d 2.838, I 29; 2θ = 32.3°, d 2.773, I 100; 2θ = 35.4°, d 2.535, I 74; 2θ = 37.4°, d 2.403, I 71; 2θ = 42.1°, d 2.147, I 24; 2θ = 42.7°, d 2.118, I 42; 2θ = 43.4°, d 2.086, I 42; 2θ = 67.8°, d 1.383, I 26